Cu2Te2Cl2O5: simulated X-ray diffraction stick pattern (Cu Kα), based on a cell relaxed with GGA-PBE.

Main lines, low angle first (2θ = 5–70°):
d [Å]  2theta  I_rel
7.797  11.3  51
3.487  25.5  100
3.063  29.2  28
2.964  30.1  32
2.771  32.3  41
2.409  37.3  25

Cell and atoms:
Cell lengths 7.7971, 7.7971, 6.4101 Å; angles 90.00, 90.00, 90.00 degrees
Space group P-4 (No. 81)
Symmetry-distinct sites (fractional):
Cu  0.0406  0.7700  0.3469 x4
Te  0.1437  0.6768  0.8654 x4
Cl  0.2683  0.5977  0.3068 x4
O  0.0000  0.5000  0.7317 x2
O  0.0347  0.2653  0.0584 x4
O  0.0805  0.8312  0.6409 x4